1.
Starting from DFT lattice parameters and positions (GGA-PBE), the PXRD pattern of CeZn2Cu9 was calculated for Cu Kα (weighted mean of Kα1 and Kα2).

The 6 most intense peaks (10 to 90 degrees two-theta), low angle first:
| hkl | Position (°2θ) | d_spacing | Rel. int. |
| --- | --- | --- | --- |
| 3 2 1 | 34.7 | 2.588 | 40 |
| 3 1 2 | 39.0 | 2.307 | 100 |
| 4 2 0 | 39.8 | 2.265 | 73 |
| 1 0 3 | 41.7 | 2.166 | 34 |
| 5 0 1 | 46.9 | 1.938 | 52 |
| 4 2 2 | 48.6 | 1.872 | 34 |

Structural model:
```
data_CeZn2Cu9
_chemical_formula_sum 'Ce4 Zn8 Cu36'
_symmetry_space_group_name_H-M 'I 41/a m d'
_symmetry_Int_Tables_number 141
_cell_length_a 10.131
_cell_length_b 10.131
_cell_length_c 6.651
_cell_angle_alpha 90.00
_cell_angle_beta 90.00
_cell_angle_gamma 90.00
loop_
_symmetry_equiv_pos_as_xyz
'x,y,z'
'-x,-y,-z'
'-y+1/4,x+3/4,z+1/4'
'y+1/4,-x+3/4,-z+1/4'
'-x+1/2,-y,z+1/2'
'x+1/2,y,-z+1/2'
'y+1/4,-x+1/4,z+3/4'
'-y+1/4,x+1/4,-z+3/4'
'x,-y,-z'
'-x,y,z'
'-y+1/4,-x+1/4,-z+3/4'
'y+1/4,x+1/4,z+3/4'
'-x+1/2,y,-z+1/2'
'x+1/2,-y,z+1/2'
'y+1/4,x+3/4,-z+1/4'
'-y+1/4,-x+3/4,z+1/4'
'x+1/2,y+1/2,z+1/2'
'-x+1/2,-y+1/2,-z+1/2'
'-y+3/4,x+1/4,z+3/4'
'y+3/4,-x+1/4,-z+3/4'
'-x,-y+1/2,z'
'x,y+1/2,-z'
'y+3/4,-x+3/4,z+1/4'
'-y+3/4,x+3/4,-z+1/4'
'x+1/2,-y+1/2,-z+1/2'
'-x+1/2,y+1/2,z+1/2'
'-y+3/4,-x+3/4,-z+1/4'
'y+3/4,x+3/4,z+1/4'
'-x,y+1/2,-z'
'x,-y+1/2,z'
'y+3/4,x+1/4,-z+3/4'
'-y+3/4,-x+1/4,z+3/4'
loop_
_atom_site_label
_atom_site_fract_x
_atom_site_fract_y
_atom_site_fract_z
_atom_site_occupancy
Ce1 0.000 0.250 0.375 1
Zn1 0.000 0.000 0.000 1
Cu1 0.000 0.250 0.875 1
Cu2 0.123 0.042 0.681 1
```

=====

2.
Starting from DFT lattice parameters and positions (GGA-PBE), the PXRD pattern of Cs2YNiI6 was calculated for Cu Kα (weighted mean of Kα1 and Kα2).

The 6 most intense peaks (10 to 90 degrees two-theta), low angle first:
| hkl | Position (°2θ) | d_spacing | Rel. int. |
| --- | --- | --- | --- |
| 2 0 2 | 26.1 | 3.411 | 100 |
| 2 2 0 | 30.3 | 2.954 | 96 |
| 4 0 0 | 43.3 | 2.089 | 70 |
| 4 2 2 | 51.3 | 1.782 | 30 |
| 4 0 4 | 53.7 | 1.706 | 24 |
| 6 2 0 | 71.4 | 1.322 | 20 |

Structural model:
```
data_Cs2YNiI6
_chemical_formula_sum 'Cs4 Y2 Ni2 I12'
_symmetry_space_group_name_H-M 'I 4/m m m'
_symmetry_Int_Tables_number 139
_symmetry_space_group_name_Hall '-I 4 2'
_cell_length_a 8.363
_cell_length_b 8.363
_cell_length_c 11.797
_cell_angle_alpha 90.00
_cell_angle_beta 90.00
_cell_angle_gamma 90.00
loop_
_atom_site_label
_atom_site_fract_x
_atom_site_fract_y
_atom_site_fract_z
_atom_site_occupancy
Cs1 0.000 0.500 0.250 1
Y1 0.000 0.000 0.000 1
Ni1 0.000 0.000 0.500 1
I1 0.000 0.000 0.258 1
I2 0.242 0.242 0.500 1
```

=====

3.
Starting from DFT lattice parameters and positions (GGA-PBE), the PXRD pattern of KLaCu2F8 was calculated for Cu Kα (weighted mean of Kα1 and Kα2).

The 6 most intense peaks (10 to 90 degrees two-theta), low angle first:
| hkl | Position (°2θ) | d_spacing | Rel. int. |
| --- | --- | --- | --- |
| 1 0 1 | 17.3 | 5.124 | 21 |
| 1 1 2 | 27.2 | 3.282 | 100 |
| 2 0 0 | 30.8 | 2.899 | 23 |
| 0 0 4 | 32.7 | 2.738 | 22 |
| 2 0 4 | 45.6 | 1.990 | 23 |
| 1 3 2 | 52.6 | 1.739 | 42 |

Structural model:
```
data_KLaCu2F8
_chemical_formula_sum 'K2 La2 Cu4 F16'
_symmetry_space_group_name_H-M 'I -4'
_symmetry_Int_Tables_number 82
_cell_length_a 5.798
_cell_length_b 5.798
_cell_length_c 10.951
_cell_angle_alpha 90.00
_cell_angle_beta 90.00
_cell_angle_gamma 90.00
loop_
_symmetry_equiv_pos_as_xyz
'x,y,z'
'y,-x,-z'
'-x,-y,z'
'-y,x,-z'
'x+1/2,y+1/2,z+1/2'
'y+1/2,-x+1/2,-z+1/2'
'-x+1/2,-y+1/2,z+1/2'
'-y+1/2,x+1/2,-z+1/2'
loop_
_atom_site_label
_atom_site_fract_x
_atom_site_fract_y
_atom_site_fract_z
_atom_site_occupancy
K1 0.000 0.000 0.000 1
La1 0.000 0.500 0.250 1
Cu1 0.000 0.000 0.500 1
Cu2 0.000 0.500 0.750 1
F1 0.104 0.293 0.440 1
F2 0.160 0.776 0.794 1
```

=====

4.
Starting from DFT lattice parameters and positions (GGA-PBE), the PXRD pattern of Nb2FeRh5 was calculated for Cu Kα (weighted mean of Kα1 and Kα2).

The 6 most intense peaks (10 to 90 degrees two-theta), low angle first:
| hkl | Position (°2θ) | d_spacing | Rel. int. |
| --- | --- | --- | --- |
| 0 4 1 | 40.2 | 2.242 | 100 |
| 0 0 2 | 46.6 | 1.950 | 16 |
| 2 4 0 | 46.9 | 1.938 | 32 |
| 2 4 2 | 68.2 | 1.375 | 20 |
| 0 4 3 | 82.0 | 1.175 | 12 |
| 2 8 1 | 82.6 | 1.169 | 12 |

Structural model:
```
data_Nb2FeRh5
_chemical_formula_sum 'Nb4 Fe2 Rh10'
_symmetry_space_group_name_H-M 'P b a m'
_symmetry_Int_Tables_number 55
_cell_length_a 5.487
_cell_length_b 10.950
_cell_length_c 3.900
_cell_angle_alpha 90.00
_cell_angle_beta 90.00
_cell_angle_gamma 90.00
loop_
_symmetry_equiv_pos_as_xyz
'x,y,z'
'-x,-y,-z'
'-x,-y,z'
'x,y,-z'
'x+1/2,-y+1/2,-z'
'-x+1/2,y+1/2,z'
'-x+1/2,y+1/2,-z'
'x+1/2,-y+1/2,z'
loop_
_atom_site_label
_atom_site_fract_x
_atom_site_fract_y
_atom_site_fract_z
_atom_site_occupancy
Nb1 0.243 0.125 0.000 1
Fe1 0.000 0.500 0.500 1
Rh1 0.000 0.000 0.500 1
Rh2 0.013 0.748 0.500 1
Rh3 0.237 0.379 0.000 1
```

=====

5.
Starting from DFT lattice parameters and positions (GGA-PBE), the PXRD pattern of ErTmCl was calculated for Cu Kα (weighted mean of Kα1 and Kα2).

The 6 most intense peaks (10 to 90 degrees two-theta), low angle first:
| hkl | Position (°2θ) | d_spacing | Rel. int. |
| --- | --- | --- | --- |
| 2 0 1 | 31.4 | 2.851 | 100 |
| 1 1 2 | 38.8 | 2.319 | 45 |
| 3 1 0 | 50.5 | 1.807 | 22 |
| 2 2 1 | 60.7 | 1.526 | 15 |
| 2 0 4 | 61.3 | 1.512 | 15 |
| 3 1 3 | 65.7 | 1.422 | 17 |

Structural model:
```
data_ErTmCl
_chemical_formula_sum 'Er2 Tm2 Cl2'
_symmetry_space_group_name_H-M 'P 1 21/m 1'
_symmetry_Int_Tables_number 11
_cell_length_a 6.260
_cell_length_b 3.614
_cell_length_c 6.907
_cell_angle_alpha 90.00
_cell_angle_beta 90.00
_cell_angle_gamma 90.00
loop_
_symmetry_equiv_pos_as_xyz
'x,y,z'
'-x,-y,-z'
'-x,y+1/2,-z'
'x,-y+1/2,z'
loop_
_atom_site_label
_atom_site_fract_x
_atom_site_fract_y
_atom_site_fract_z
_atom_site_occupancy
Er1 0.083 0.250 0.311 1
Tm1 0.417 0.250 0.687 1
Cl1 0.251 0.750 0.999 1
```

=====

6.
Starting from DFT lattice parameters and positions (GGA-PBE), the PXRD pattern of AcPm6Nd3Y2 was calculated for Cu Kα (weighted mean of Kα1 and Kα2).

The 6 most intense peaks (10 to 90 degrees two-theta), low angle first:
| hkl | Position (°2θ) | d_spacing | Rel. int. |
| --- | --- | --- | --- |
| 1 3 1 | 29.8 | 3.001 | 100 |
| 2 0 2 | 34.5 | 2.599 | 51 |
| 1 3 5 | 49.5 | 1.840 | 18 |
| 0 6 0 | 49.7 | 1.836 | 18 |
| 3 3 3 | 58.9 | 1.568 | 25 |
| 4 0 0 | 59.0 | 1.566 | 18 |

Structural model:
```
data_AcPm6Nd3Y2
_chemical_formula_sum 'Ac2 Pm12 Nd6 Y4'
_symmetry_space_group_name_H-M 'C 1 2/m 1'
_symmetry_Int_Tables_number 12
_cell_length_a 6.361
_cell_length_b 11.012
_cell_length_c 12.215
_cell_angle_alpha 90.00
_cell_angle_beta 100.00
_cell_angle_gamma 90.00
loop_
_symmetry_equiv_pos_as_xyz
'x,y,z'
'-x,-y,-z'
'-x,y,-z'
'x,-y,z'
'x+1/2,y+1/2,z'
'-x+1/2,-y+1/2,-z'
'-x+1/2,y+1/2,-z'
'x+1/2,-y+1/2,z'
loop_
_atom_site_label
_atom_site_fract_x
_atom_site_fract_y
_atom_site_fract_z
_atom_site_occupancy
Ac1 0.000 0.000 0.000 1
Pm1 0.248 0.332 0.749 1
Pm2 0.248 0.500 0.252 1
Nd1 0.000 0.167 0.500 1
Nd2 0.000 0.500 0.500 1
Y1 0.000 0.333 0.000 1
```

=====

7.
Starting from DFT lattice parameters and positions (GGA-PBE), the PXRD pattern of RbTlAs5 was calculated for Cu Kα (weighted mean of Kα1 and Kα2).

The 6 most intense peaks (10 to 90 degrees two-theta), low angle first:
| hkl | Position (°2θ) | d_spacing | Rel. int. |
| --- | --- | --- | --- |
| 1 1 2 | 25.4 | 3.509 | 28 |
| 1 3 -2 | 30.0 | 2.981 | 100 |
| 1 1 3 | 30.6 | 2.926 | 27 |
| 1 3 2 | 32.0 | 2.794 | 22 |
| 2 0 -4 | 44.3 | 2.045 | 20 |
| 1 7 -2 | 54.0 | 1.698 | 22 |

Structural model:
```
data_RbTlAs5
_chemical_formula_sum 'Rb4 Tl4 As20'
_symmetry_space_group_name_H-M 'C 1 2/c 1'
_symmetry_Int_Tables_number 15
_cell_length_a 4.904
_cell_length_b 13.063
_cell_length_c 12.643
_cell_angle_alpha 90.00
_cell_angle_beta 96.82
_cell_angle_gamma 90.00
loop_
_symmetry_equiv_pos_as_xyz
'x,y,z'
'-x,-y,-z'
'-x,y,-z+1/2'
'x,-y,z+1/2'
'x+1/2,y+1/2,z'
'-x+1/2,-y+1/2,-z'
'-x+1/2,y+1/2,-z+1/2'
'x+1/2,-y+1/2,z+1/2'
loop_
_atom_site_label
_atom_site_fract_x
_atom_site_fract_y
_atom_site_fract_z
_atom_site_occupancy
Rb1 0.000 0.008 0.250 1
Tl1 0.000 0.500 0.000 1
As1 0.000 0.305 0.750 1
As2 0.079 0.186 0.034 1
As3 0.226 0.301 0.365 1
```

=====

8.
Starting from DFT lattice parameters and positions (GGA-PBE), the PXRD pattern of PmNd2Ir9 was calculated for Cu Kα (weighted mean of Kα1 and Kα2).

The 6 most intense peaks (10 to 90 degrees two-theta), low angle first:
| hkl | Position (°2θ) | d_spacing | Rel. int. |
| --- | --- | --- | --- |
| 1 0 1 | 19.4 | 4.584 | 24 |
| 0 2 1 | 38.9 | 2.318 | 26 |
| 1 1 6 | 39.2 | 2.297 | 100 |
| 0 0 12 | 40.7 | 2.215 | 24 |
| 2 0 5 | 42.4 | 2.132 | 37 |
| 2 2 0 | 70.0 | 1.343 | 24 |

Structural model:
```
data_PmNd2Ir9
_chemical_formula_sum 'Pm3 Nd6 Ir27'
_symmetry_space_group_name_H-M 'R -3 m'
_symmetry_Int_Tables_number 166
_symmetry_space_group_name_Hall '-R 3 2"'
_cell_length_a 5.3738
_cell_length_b 5.3738
_cell_length_c 26.5834
_cell_angle_alpha 90.00
_cell_angle_beta 90.00
_cell_angle_gamma 120.00
loop_
_atom_site_label
_atom_site_fract_x
_atom_site_fract_y
_atom_site_fract_z
_atom_site_occupancy
Pm1 0.0000 0.0000 0.0000 1
Nd1 0.0000 0.0000 0.1395 1
Ir1 0.0000 0.0000 0.3321 1
Ir2 0.0000 0.0000 0.5000 1
Ir3 0.0032 0.5016 0.0807 1
```